Calculated X-ray diffraction stick pattern of CoCuI2O8 for λ = 1.5418 Å (Cu Kα), from a DFT-relaxed cell (GGA+U, Alexandria).
Intensities are scaled so that the largest is 100.

Largest 6 diffraction maxima, in order of falling intensity, 2θ = 10–80°:
31.03°, rel. 100.0, (1 1 2); 26.63°, rel. 83.0, (2 0 0); 49.85°, rel. 58.3, (3 1 2); 18.02°, rel. 18.8, (1 0 1); 57.76°, rel. 17.2, (2 0 4); 32.34°, rel. 16.7, (2 1 1)

Crystal structure
Cell: 6.6957 6.6957 7.2641 Å, 90.00 90.00 90.00°
Space group I-4m2 (No. 119)
Asymmetric unit:
Co (0.0000, 0.0000, 0.0000) x2
Cu (0.0000, 0.5000, 0.2500) x2
I (0.0000, 0.0000, 0.5000) x2
I (0.0000, 0.5000, 0.7500) x2
O (0.0000, 0.2152, 0.3376) x8
O (0.0000, 0.2838, 0.9147) x8